For Dy4AlPd3, a structure optimized by DFT (GGA-PBE) gives the theoretical XRD peak list in this record (Cu Ka).
Lines closer than 0.1° are merged.

Structure:
Cell: 3.7816 4.4914 10.8503 Å, 90.00 90.00 90.00°
Sites, in units of the cell vectors:
Dy 0.0000 0.0000 0.0000
Dy 0.0000 0.5000 0.2693
Dy 0.5000 0.0000 0.4832
Dy 0.5000 0.5000 0.7793
Al 0.0000 0.0000 0.7055
Pd 0.0000 0.5000 0.5576
Pd 0.5000 0.0000 0.2185
Pd 0.5000 0.5000 0.0511

Largest 10 diffraction maxima, low angle first, 2θ from 10° to 90°:
two_theta	intensity
25.75	21
32.02	100
33.02	28
34.31	32
38.78	21
39.91	50
40.15	30
48.12	18
53.82	18
64.42	15